The following is a computed powder X-ray diffraction pattern of BaCu4Sb. It was derived from a crystal structure in Alexandria, relaxed with PBE, using Cu Kα, 1.54184 Å.
Lines closer than 0.1° are merged.

Principal peaks in the range 2θ from 10° to 80°, in order of falling intensity:
(3 1 1), 38.8 deg, I = 100.0; (2 2 0), 32.9 deg, I = 49.9; (5 1 1), 62.7 deg, I = 31.0; (4 4 0), 69.0 deg, I = 23.8; (2 2 2), 40.6 deg, I = 22.4; (4 2 2), 58.7 deg, I = 18.5

Atomic structure:
Cell: 7.7009 7.7009 7.7009 Å, 90.00 90.00 90.00°
Space group F-43m (No. 216)
Symmetry-distinct sites (fractional):
Ba1 0.0000 0.0000 0.0000
Cu1 0.1234 0.1234 0.6234
Sb1 0.2500 0.2500 0.2500



The following is a computed powder X-ray diffraction pattern of Li3B4C4. It was derived from a crystal structure in Alexandria, relaxed with PBE, using Cu Kα, 1.54184 Å.
Lines closer than 0.1° are merged.

Principal peaks in the range 2θ from 10° to 80°, in order of falling intensity:
(2 0 0), 24.7 deg, I = 100.0; (2 0 2), 45.9 deg, I = 52.4; (0 2 3), 68.9 deg, I = 17.3; (4 0 0), 50.5 deg, I = 17.2; (1 0 0), 12.3 deg, I = 9.3; (0 0 2), 38.1 deg, I = 8.4

Atomic structure:
Cell: 7.2231 5.4542 4.7169 Å, 90.00 90.02 90.00°
Space group P2/c (No. 13)
Symmetry-distinct sites (fractional):
Li1 0.0000 0.1246 0.2500
Li2 0.0000 0.3750 0.7500
Li3 0.5000 0.1479 0.2500
B1 0.2463 0.3769 0.4193
B2 0.2471 0.1261 0.9172
C1 0.2400 0.3742 0.0847
C2 0.2461 0.1248 0.5815



- What is the formula in the second record?
  Li3B4C4



Repeat the second record exactly.
The following is a computed powder X-ray diffraction pattern of Li3B4C4. It was derived from a crystal structure in Alexandria, relaxed with PBE, using Cu Kα, 1.54184 Å.
Lines closer than 0.1° are merged.

Principal peaks in the range 2θ from 10° to 80°, in order of falling intensity:
(2 0 0), 24.7 deg, I = 100.0; (2 0 2), 45.9 deg, I = 52.4; (0 2 3), 68.9 deg, I = 17.3; (4 0 0), 50.5 deg, I = 17.2; (1 0 0), 12.3 deg, I = 9.3; (0 0 2), 38.1 deg, I = 8.4

Atomic structure:
Cell: 7.2231 5.4542 4.7169 Å, 90.00 90.02 90.00°
Space group P2/c (No. 13)
Symmetry-distinct sites (fractional):
Li1 0.0000 0.1246 0.2500
Li2 0.0000 0.3750 0.7500
Li3 0.5000 0.1479 0.2500
B1 0.2463 0.3769 0.4193
B2 0.2471 0.1261 0.9172
C1 0.2400 0.3742 0.0847
C2 0.2461 0.1248 0.5815